Starting from a DFT-relaxed cell (GGA-PBE, Alexandria), the XRD peak list of Ac3CeAl8 was simulated for CuKα.

Crystal structure
```
12
Lattice="2.9245 1.6885 9.5325 -2.9245 1.6885 9.5325 0.0000 -3.3770 9.5325" Properties=species:S:1:pos:R:3 pbc="T T T"
Ac 0.0000 0.0000 0.0000
Ac 0.0000 0.0000 3.6047
Ac 0.0000 0.0000 17.8591
Ce 0.0000 0.0000 14.3028
Al 0.0000 -1.6907 6.5128
Al -1.4642 0.8454 6.5128
Al -1.4502 -0.8373 11.3769
Al 0.0000 0.0000 8.9443
Al 1.4642 0.8454 6.5128
Al 1.4502 -0.8373 11.3769
Al 0.0000 1.6746 11.3769
Al 0.0000 0.0000 23.2560
```

The 12 most intense peaks (2θ = 5–70°), in order of rising 2θ:
| Position (°2θ) | d (Å) | I (rel.) |
| --- | --- | --- |
| 18.59 | 4.773 | 71 |
| 30.59 | 2.923 | 100 |
| 36.04 | 2.492 | 93 |
| 37.70 | 2.386 | 3 |
| 43.81 | 2.067 | 10 |
| 47.97 | 1.896 | 20 |
| 54.35 | 1.688 | 31 |
| 54.44 | 1.685 | 10 |
| 57.97 | 1.591 | 30 |
| 63.68 | 1.461 | 20 |
| 66.95 | 1.398 | 11 |
| 67.04 | 1.396 | 4 |